(1)
The following is a theoretical powder diffraction line list of NaMn2O4. It was derived from a cell relaxed with GGA+U, using a wavelength of 1.5418 Å.
Lines closer than 0.1° are merged.

Main lines, sorted by position (2θ = 10–80°):
2θ = 18.06°, I 53, (0 0 2); 2θ = 20.07°, I 32, (0 2 1); 2θ = 30.98°, I 28, (1 1 0); 2θ = 32.33°, I 24, (1 1 1); 2θ = 32.79°, I 100, (0 2 3); 2θ = 40.49°, I 47, (1 3 0); 2θ = 41.57°, I 52, (1 3 1); 2θ = 44.67°, I 52, (1 3 2); 2θ = 56.68°, I 23, (1 1 5); 2θ = 62.88°, I 35, (1 5 3); 2θ = 63.07°, I 31, (0 6 3); 2θ = 71.46°, I 24, (2 2 3)

Structure:
abc: 3.017 9.908 9.822
angles: 90.00 90.00 90.00
Space group Cmcm (No. 63)
Inequivalent atoms, fractional coordinates:
Na1 0.000 0.105 0.250 [4 per cell]
Mn1 0.000 0.363 0.072 [8 per cell]
O1 0.000 0.000 0.000 [4 per cell]
O2 0.000 0.266 0.604 [8 per cell]
O3 0.000 0.434 0.250 [4 per cell]



(2)
The following is a theoretical powder diffraction line list of NaMn2O4. It was derived from a cell relaxed with GGA+U, using a wavelength of 1.5418 Å.
Lines closer than 0.1° are merged.

Main lines, sorted by position (2θ = 10–80°):
2θ = 18.16°, I 100, (1 1 1); 2θ = 29.87°, I 13, (2 2 0); 2θ = 35.18°, I 94, (3 1 1); 2θ = 36.80°, I 16, (2 2 2); 2θ = 42.76°, I 57, (4 0 0); 2θ = 46.81°, I 4, (3 3 1); 2θ = 56.53°, I 44, (5 1 1); 2θ = 62.06°, I 53, (4 4 0); 2θ = 65.25°, I 13, (5 3 1); 2θ = 73.39°, I 10, (5 3 3); 2θ = 74.38°, I 11, (6 2 2); 2θ = 78.30°, I 8, (4 4 4)

Structure:
abc: 8.460 8.460 8.460
angles: 90.00 90.00 90.00
Space group Fd-3m (No. 227, origin choice 2)
Inequivalent atoms, fractional coordinates:
Na1 0.125 0.125 0.125 [8 per cell]
Mn1 0.000 0.000 0.500 [16 per cell]
O1 0.020 0.020 0.730 [32 per cell]



(3)
The following is a theoretical powder diffraction line list of Na2MnO2. It was derived from a cell relaxed with GGA+U, using a wavelength of 1.5418 Å.
Lines closer than 0.1° are merged.

Main lines, sorted by position (2θ = 10–80°):
2θ = 13.80°, I 25, (0 0 2); 2θ = 17.60°, I 100, (0 1 1); 2θ = 32.69°, I 22, (0 2 0); 2θ = 33.83°, I 90, (1 1 3); 2θ = 34.88°, I 73, (3 1 -3); 2θ = 37.20°, I 13, (1 2 -3); 2θ = 44.37°, I 23, (2 1 -7); 2θ = 46.09°, I 32, (3 2 -4); 2θ = 48.58°, I 18, (2 2 -6); 2θ = 49.42°, I 14, (4 1 -1); 2θ = 49.67°, I 14, (1 2 4); 2θ = 50.15°, I 22, (4 0 0)

Structure:
abc: 8.747 5.478 15.430
angles: 90.00 123.71 90.00
Space group P2_1/c (No. 14)
Inequivalent atoms, fractional coordinates:
Na1 0.091 0.007 0.307 [4 per cell]
Na2 0.135 0.590 0.457 [4 per cell]
Na3 0.357 0.509 0.736 [4 per cell]
Na4 0.400 0.072 0.865 [4 per cell]
Mn1 0.149 0.005 0.612 [4 per cell]
Mn2 0.374 0.044 0.529 [4 per cell]
O1 0.111 0.174 0.470 [4 per cell]
O2 0.136 0.235 0.708 [4 per cell]
O3 0.367 0.699 0.133 [4 per cell]
O4 0.375 0.693 0.919 [4 per cell]



(4)
The following is a theoretical powder diffraction line list of NaMn2O4. It was derived from a cell relaxed with GGA+U, using a wavelength of 1.5418 Å.
Lines closer than 0.1° are merged.

Main lines, sorted by position (2θ = 10–80°):
2θ = 18.06°, I 53, (0 0 2); 2θ = 20.07°, I 32, (0 2 1); 2θ = 30.98°, I 28, (1 1 0); 2θ = 32.33°, I 24, (1 1 1); 2θ = 32.79°, I 100, (0 2 3); 2θ = 40.49°, I 47, (1 3 0); 2θ = 41.57°, I 52, (1 3 1); 2θ = 44.67°, I 52, (1 3 2); 2θ = 56.68°, I 23, (1 1 5); 2θ = 62.88°, I 35, (1 5 3); 2θ = 63.07°, I 31, (0 6 3); 2θ = 71.46°, I 24, (2 2 3)

Structure:
abc: 3.017 9.908 9.822
angles: 90.00 90.00 90.00
Space group Pbcm (No. 57)
Inequivalent atoms, fractional coordinates:
Na1 0.250 0.145 0.250 [4 per cell]
Mn1 0.247 0.613 0.572 [8 per cell]
O1 0.249 0.684 0.750 [4 per cell]
O2 0.250 0.516 0.104 [8 per cell]
O3 0.264 0.250 0.000 [4 per cell]



(5)
The following is a theoretical powder diffraction line list of NaMn8O16. It was derived from a cell relaxed with GGA+U, using a wavelength of 1.5418 Å.
Lines closer than 0.1° are merged.

Main lines, sorted by position (2θ = 10–80°):
2θ = 12.48°, I 83, (0 1 1); 2θ = 12.63°, I 80, (0 1 -1); 2θ = 17.71°, I 69, (0 0 2); 2θ = 17.88°, I 78, (0 2 0); 2θ = 28.31°, I 100, (0 3 1); 2θ = 35.86°, I 24, (0 0 4); 2θ = 36.48°, I 63, (2 1 2); 2θ = 36.63°, I 86, (2 2 -1); 2θ = 48.69°, I 38, (2 -1 4); 2θ = 55.56°, I 24, (0 6 0); 2θ = 58.95°, I 32, (2 2 -5); 2θ = 63.12°, I 20, (4 0 0)

Structure:
abc: 5.891 9.924 10.019
angles: 89.34 89.89 89.90
Space group P1 (No. 1)
Inequivalent atoms, fractional coordinates:
Na1 0.000 0.000 0.000 [1 per cell]
Na2 0.250 0.499 0.500 [1 per cell]
Mn1 0.000 0.348 0.834 [1 per cell]
Mn2 0.000 0.834 0.649 [1 per cell]
Mn3 0.249 0.152 0.665 [1 per cell]
Mn4 0.250 0.669 0.852 [1 per cell]
Mn5 0.250 0.849 0.334 [1 per cell]
Mn6 0.252 0.333 0.149 [1 per cell]
Mn7 0.499 0.833 0.650 [1 per cell]
Mn8 0.501 0.170 0.350 [1 per cell]
Mn9 0.501 0.348 0.836 [1 per cell]
Mn10 0.501 0.651 0.166 [1 per cell]
Mn11 0.746 0.152 0.666 [1 per cell]
Mn12 0.748 0.848 0.336 [1 per cell]
Mn13 0.749 0.669 0.850 [1 per cell]
Mn14 0.752 0.334 0.150 [1 per cell]
Mn15 0.998 0.650 0.166 [1 per cell]
Mn16 0.999 0.170 0.352 [1 per cell]
O1 0.000 0.543 0.839 [1 per cell]
O2 0.000 0.845 0.203 [1 per cell]
O3 0.001 0.202 0.158 [1 per cell]
O4 0.001 0.828 0.457 [1 per cell]
O5 0.003 0.457 0.159 [1 per cell]
O6 0.243 0.345 0.700 [1 per cell]
O7 0.249 0.328 0.956 [1 per cell]
O8 0.249 0.652 0.297 [1 per cell]
O9 0.249 0.671 0.044 [1 per cell]
O10 0.249 0.957 0.659 [1 per cell]
O11 0.250 0.044 0.340 [1 per cell]
O12 0.250 0.702 0.657 [1 per cell]
O13 0.251 0.304 0.343 [1 per cell]
O14 0.496 0.829 0.458 [1 per cell]
O15 0.498 0.147 0.791 [1 per cell]
O16 0.498 0.173 0.543 [1 per cell]
O17 0.498 0.844 0.205 [1 per cell]
O18 0.500 0.457 0.156 [1 per cell]
O19 0.500 0.545 0.841 [1 per cell]
O20 0.500 0.799 0.843 [1 per cell]
O21 0.502 0.204 0.158 [1 per cell]
O22 0.749 0.300 0.344 [1 per cell]
O23 0.749 0.345 0.706 [1 per cell]
O24 0.749 0.643 0.290 [1 per cell]
O25 0.749 0.957 0.658 [1 per cell]
O26 0.750 0.047 0.341 [1 per cell]
O27 0.750 0.671 0.043 [1 per cell]
O28 0.750 0.704 0.657 [1 per cell]
O29 0.755 0.328 0.959 [1 per cell]
O30 0.998 0.169 0.544 [1 per cell]
O31 0.998 0.804 0.843 [1 per cell]
O32 0.999 0.152 0.797 [1 per cell]



Please write out number 4 again, unchanged.
The following is a theoretical powder diffraction line list of NaMn2O4. It was derived from a cell relaxed with GGA+U, using a wavelength of 1.5418 Å.
Lines closer than 0.1° are merged.

Main lines, sorted by position (2θ = 10–80°):
2θ = 18.06°, I 53, (0 0 2); 2θ = 20.07°, I 32, (0 2 1); 2θ = 30.98°, I 28, (1 1 0); 2θ = 32.33°, I 24, (1 1 1); 2θ = 32.79°, I 100, (0 2 3); 2θ = 40.49°, I 47, (1 3 0); 2θ = 41.57°, I 52, (1 3 1); 2θ = 44.67°, I 52, (1 3 2); 2θ = 56.68°, I 23, (1 1 5); 2θ = 62.88°, I 35, (1 5 3); 2θ = 63.07°, I 31, (0 6 3); 2θ = 71.46°, I 24, (2 2 3)

Structure:
abc: 3.017 9.908 9.822
angles: 90.00 90.00 90.00
Space group Pbcm (No. 57)
Inequivalent atoms, fractional coordinates:
Na1 0.250 0.145 0.250 [4 per cell]
Mn1 0.247 0.613 0.572 [8 per cell]
O1 0.249 0.684 0.750 [4 per cell]
O2 0.250 0.516 0.104 [8 per cell]
O3 0.264 0.250 0.000 [4 per cell]



What did the first record say?
The following is a theoretical powder diffraction line list of NaMn2O4. It was derived from a cell relaxed with GGA+U, using a wavelength of 1.5418 Å.
Lines closer than 0.1° are merged.

Main lines, sorted by position (2θ = 10–80°):
2θ = 18.06°, I 53, (0 0 2); 2θ = 20.07°, I 32, (0 2 1); 2θ = 30.98°, I 28, (1 1 0); 2θ = 32.33°, I 24, (1 1 1); 2θ = 32.79°, I 100, (0 2 3); 2θ = 40.49°, I 47, (1 3 0); 2θ = 41.57°, I 52, (1 3 1); 2θ = 44.67°, I 52, (1 3 2); 2θ = 56.68°, I 23, (1 1 5); 2θ = 62.88°, I 35, (1 5 3); 2θ = 63.07°, I 31, (0 6 3); 2θ = 71.46°, I 24, (2 2 3)

Structure:
abc: 3.017 9.908 9.822
angles: 90.00 90.00 90.00
Space group Cmcm (No. 63)
Inequivalent atoms, fractional coordinates:
Na1 0.000 0.105 0.250 [4 per cell]
Mn1 0.000 0.363 0.072 [8 per cell]
O1 0.000 0.000 0.000 [4 per cell]
O2 0.000 0.266 0.604 [8 per cell]
O3 0.000 0.434 0.250 [4 per cell]



> Number 3 is which compound?

Na2MnO2